Record 1
Structure and theoretical PXRD pattern of Sc2Al3Au2 (the GGA-PBE geometry in Alexandria; Cu Kα (weighted mean of Kα1 and Kα2)).
Lines closer than 0.1° are merged.

Structure:
```
data_Sc2Al3Au2
_symmetry_space_group_name_H-M 'C m c m'
_symmetry_Int_Tables_number 63
_symmetry_space_group_name_Hall '-C 2c 2'
_cell_length_a 3.698
_cell_length_b 19.475
_cell_length_c 7.392
_cell_angle_alpha 90.00
_cell_angle_beta 90.00
_cell_angle_gamma 90.00
loop_
_atom_site_label
_atom_site_type_symbol
_atom_site_fract_x
_atom_site_fract_y
_atom_site_fract_z
Sc1 Sc 0.000 0.055 0.250
Sc2 Sc 0.000 0.152 0.750
Al1 Al 0.000 0.232 0.250
Al2 Al 0.000 0.444 0.077
Au1 Au 0.000 0.321 0.548
```

Peak list (8 most intense, 5° ≤ 2θ ≤ 70°, sorted by position)
| index | Position (°2θ) | I/Imax |
| --- | --- | --- |
| 0 2 0 | 9.08 | 100 |
| 0 6 0 | 27.48 | 21 |
| 1 3 0 | 27.76 | 42 |
| 1 5 0 | 33.41 | 20 |
| 1 1 2 | 34.62 | 26 |
| 0 8 0 | 36.89 | 32 |
| 1 3 2 | 37.07 | 40 |
| 0 4 3 | 41.06 | 24 |

***

Record 2
Structure and theoretical PXRD pattern of ScAl2Au8 (the GGA-PBE geometry in Alexandria; Cu Kα (weighted mean of Kα1 and Kα2)).
Lines closer than 0.1° are merged.

Structure:
```
data_ScAl2Au8
_symmetry_space_group_name_H-M 'C 1 2/m 1'
_symmetry_Int_Tables_number 12
_cell_length_a 14.902
_cell_length_b 3.993
_cell_length_c 6.822
_cell_angle_alpha 90.00
_cell_angle_beta 106.77
_cell_angle_gamma 90.00
loop_
_symmetry_equiv_pos_as_xyz
'x,y,z'
'-x,-y,-z'
'-x,y,-z'
'x,-y,z'
'x+1/2,y+1/2,z'
'-x+1/2,-y+1/2,-z'
'-x+1/2,y+1/2,-z'
'x+1/2,-y+1/2,z'
loop_
_atom_site_label
_atom_site_type_symbol
_atom_site_fract_x
_atom_site_fract_y
_atom_site_fract_z
Sc1 Sc 0.000 0.000 0.000
Al1 Al 0.223 0.500 0.667
Au1 Au 0.038 0.500 0.720
Au2 Au 0.117 0.000 0.462
Au3 Au 0.142 0.500 0.187
Au4 Au 0.178 0.000 0.905
```

Peak list (8 most intense, 5° ≤ 2θ ≤ 70°, sorted by position)
| index | Position (°2θ) | I/Imax |
| --- | --- | --- |
| 3 1 0 | 29.20 | 17 |
| 1 1 2 | 37.49 | 100 |
| 5 1 -1 | 37.96 | 85 |
| 4 0 -3 | 41.91 | 35 |
| 6 0 1 | 44.13 | 25 |
| 0 2 0 | 45.43 | 30 |
| 4 2 -3 | 63.52 | 21 |
| 6 2 1 | 65.20 | 16 |

***

Record 3
Structure and theoretical PXRD pattern of Sm2ScAl4Au3 (the GGA-PBE geometry in Alexandria; Cu Kα (weighted mean of Kα1 and Kα2)).
Lines closer than 0.1° are merged.

Structure:
```
data_Sm2ScAl4Au3
_symmetry_space_group_name_H-M 'P -4 m 2'
_symmetry_Int_Tables_number 115
_cell_length_a 4.268
_cell_length_b 4.268
_cell_length_c 11.543
_cell_angle_alpha 90.00
_cell_angle_beta 90.00
_cell_angle_gamma 90.00
loop_
_symmetry_equiv_pos_as_xyz
'x,y,z'
'y,-x,-z'
'-x,-y,z'
'-y,x,-z'
'-x,y,z'
'-y,-x,-z'
'x,-y,z'
'y,x,-z'
loop_
_atom_site_label
_atom_site_type_symbol
_atom_site_fract_x
_atom_site_fract_y
_atom_site_fract_z
Sm1 Sm 0.000 0.500 0.240
Sc1 Sc 0.000 0.000 0.500
Al1 Al 0.000 0.000 0.000
Al2 Al 0.000 0.500 0.655
Al3 Al 0.500 0.500 0.000
Au1 Au 0.000 0.500 0.872
Au2 Au 0.500 0.500 0.500
```

Peak list (8 most intense, 5° ≤ 2θ ≤ 70°, sorted by position)
| index | Position (°2θ) | I/Imax |
| --- | --- | --- |
| 0 0 3 | 23.12 | 35 |
| 1 0 2 | 25.97 | 53 |
| 1 1 1 | 30.62 | 62 |
| 1 0 3 | 31.30 | 100 |
| 1 1 2 | 33.51 | 95 |
| 2 0 0 | 42.35 | 69 |
| 1 0 5 | 44.63 | 48 |
| 2 1 3 | 53.60 | 45 |

***

Record 4
Structure and theoretical PXRD pattern of TbScAl2Au4 (the GGA-PBE geometry in Alexandria; Cu Kα (weighted mean of Kα1 and Kα2)).
Lines closer than 0.1° are merged.

Structure:
```
data_TbScAl2Au4
_symmetry_space_group_name_H-M 'R -3 m'
_symmetry_Int_Tables_number 166
_symmetry_space_group_name_Hall '-R 3 2"'
_cell_length_a 4.6243
_cell_length_b 4.6243
_cell_length_c 24.8519
_cell_angle_alpha 90.00
_cell_angle_beta 90.00
_cell_angle_gamma 120.00
loop_
_atom_site_label
_atom_site_type_symbol
_atom_site_fract_x
_atom_site_fract_y
_atom_site_fract_z
Tb1 Tb 0.0000 0.0000 0.0000
Sc1 Sc 0.0000 0.0000 0.5000
Al1 Al 0.0000 0.0000 0.2440
Au1 Au 0.0000 0.0000 0.1258
Au2 Au 0.0000 0.0000 0.3883
```

Peak list (8 most intense, 5° ≤ 2θ ≤ 70°, sorted by position)
| index | Position (°2θ) | I/Imax |
| --- | --- | --- |
| 0 1 2 | 23.34 | 15 |
| 1 0 4 | 26.48 | 64 |
| 0 1 8 | 36.61 | 99 |
| 1 1 0 | 38.95 | 100 |
| 0 2 4 | 47.72 | 14 |
| 2 0 8 | 54.52 | 32 |
| 1 0 16 | 64.33 | 13 |
| 1 2 8 | 69.02 | 31 |

***

Record 5
Structure and theoretical PXRD pattern of AlAuSe2 (the GGA-PBE geometry in Alexandria; Cu Kα (weighted mean of Kα1 and Kα2)).
Lines closer than 0.1° are merged.

Structure:
```
data_AlAuSe2
_symmetry_space_group_name_H-M 'P -1'
_symmetry_Int_Tables_number 2
_cell_length_a 6.225
_cell_length_b 6.247
_cell_length_c 6.331
_cell_angle_alpha 89.77
_cell_angle_beta 89.70
_cell_angle_gamma 89.65
loop_
_symmetry_equiv_pos_as_xyz
'x,y,z'
'-x,-y,-z'
loop_
_atom_site_label
_atom_site_type_symbol
_atom_site_fract_x
_atom_site_fract_y
_atom_site_fract_z
Al1 Al 0.000 0.000 0.250
Au1 Au 0.000 0.500 0.000
Au2 Au 0.500 0.000 0.500
Se1 Se 0.186 0.763 0.500
Se2 Se 0.237 0.183 0.998
```

Peak list (8 most intense, 5° ≤ 2θ ≤ 70°, sorted by position)
| index | Position (°2θ) | I/Imax |
| --- | --- | --- |
| 1 0 1 | 19.96 | 100 |
| 1 0 -1 | 20.07 | 62 |
| 1 -1 0 | 20.20 | 30 |
| 1 1 -1 | 24.65 | 46 |
| 0 0 2 | 28.19 | 55 |
| -1 1 2 | 34.95 | 48 |
| 2 1 1 | 35.06 | 32 |
| -1 2 1 | 35.21 | 80 |

***

Record 6
Structure and theoretical PXRD pattern of Th2Al4Si2Au3 (the GGA-PBE geometry in Alexandria; Cu Kα (weighted mean of Kα1 and Kα2)).
Lines closer than 0.1° are merged.

Structure:
```
data_Th2Al4Si2Au3
_symmetry_space_group_name_H-M 'C m m m'
_symmetry_Int_Tables_number 65
_symmetry_space_group_name_Hall '-C 2 2'
_cell_length_a 4.320
_cell_length_b 23.711
_cell_length_c 4.279
_cell_angle_alpha 90.00
_cell_angle_beta 90.00
_cell_angle_gamma 90.00
loop_
_atom_site_label
_atom_site_type_symbol
_atom_site_fract_x
_atom_site_fract_y
_atom_site_fract_z
Th1 Th 0.000 0.179 0.000
Al1 Al 0.000 0.063 0.500
Al2 Al 0.000 0.437 0.000
Si1 Si 0.000 0.273 0.500
Au1 Au 0.000 0.000 0.000
Au2 Au 0.000 0.376 0.500
```

Peak list (8 most intense, 5° ≤ 2θ ≤ 70°, sorted by position)
| index | Position (°2θ) | I/Imax |
| --- | --- | --- |
| 0 4 1 | 25.68 | 38 |
| 1 5 0 | 27.94 | 100 |
| 1 1 1 | 29.63 | 91 |
| 0 6 1 | 30.80 | 53 |
| 1 3 1 | 31.53 | 76 |
| 2 0 0 | 41.83 | 39 |
| 0 0 2 | 42.24 | 38 |
| 1 5 2 | 51.41 | 39 |

***

Record 7
Structure and theoretical PXRD pattern of SmAlAu (the GGA-PBE geometry in Alexandria; Cu Kα (weighted mean of Kα1 and Kα2)).
Lines closer than 0.1° are merged.

Structure:
```
data_SmAlAu
_symmetry_space_group_name_H-M 'I m m 2'
_symmetry_Int_Tables_number 44
_cell_length_a 4.574
_cell_length_b 22.265
_cell_length_c 7.797
_cell_angle_alpha 90.00
_cell_angle_beta 90.00
_cell_angle_gamma 90.00
loop_
_symmetry_equiv_pos_as_xyz
'x,y,z'
'-x,-y,z'
'-x,y,z'
'x,-y,z'
'x+1/2,y+1/2,z+1/2'
'-x+1/2,-y+1/2,z+1/2'
'-x+1/2,y+1/2,z+1/2'
'x+1/2,-y+1/2,z+1/2'
loop_
_atom_site_label
_atom_site_type_symbol
_atom_site_fract_x
_atom_site_fract_y
_atom_site_fract_z
Sm1 Sm 0.000 0.000 0.000
Sm2 Sm 0.000 0.165 0.912
Sm3 Sm 0.000 0.330 0.008
Sm4 Sm 0.000 0.500 0.915
Al1 Al 0.000 0.104 0.292
Al2 Al 0.000 0.273 0.627
Al3 Al 0.000 0.438 0.293
Au1 Au 0.000 0.074 0.620
Au2 Au 0.000 0.235 0.299
Au3 Au 0.000 0.399 0.623
```

Peak list (8 most intense, 5° ≤ 2θ ≤ 70°, sorted by position)
| index | Position (°2θ) | I/Imax |
| --- | --- | --- |
| 1 2 1 | 23.93 | 32 |
| 1 4 1 | 27.71 | 26 |
| 1 3 2 | 32.50 | 33 |
| 1 6 1 | 33.14 | 100 |
| 0 6 2 | 33.34 | 38 |
| 2 0 0 | 39.40 | 36 |
| 1 0 3 | 39.89 | 54 |
| 2 6 2 | 52.53 | 24 |

***

Record 8
Structure and theoretical PXRD pattern of SmAlAu3 (the GGA-PBE geometry in Alexandria; Cu Kα (weighted mean of Kα1 and Kα2)).
Lines closer than 0.1° are merged.

Structure:
```
data_SmAlAu3
_symmetry_space_group_name_H-M 'P 4/m b m'
_symmetry_Int_Tables_number 127
_symmetry_space_group_name_Hall '-P 4 2ab'
_cell_length_a 6.621
_cell_length_b 6.621
_cell_length_c 5.203
_cell_angle_alpha 90.00
_cell_angle_beta 90.00
_cell_angle_gamma 90.00
loop_
_atom_site_label
_atom_site_type_symbol
_atom_site_fract_x
_atom_site_fract_y
_atom_site_fract_z
Sm1 Sm 0.000 0.500 0.000
Al1 Al 0.000 0.000 0.500
Au1 Au 0.000 0.000 0.000
Au2 Au 0.157 0.343 0.500
```

Peak list (8 most intense, 5° ≤ 2θ ≤ 70°, sorted by position)
| index | Position (°2θ) | I/Imax |
| --- | --- | --- |
| 2 1 0 | 30.18 | 47 |
| 2 0 1 | 32.05 | 100 |
| 0 0 2 | 34.48 | 54 |
| 2 1 1 | 34.86 | 65 |
| 2 2 0 | 38.46 | 26 |
| 2 1 2 | 46.47 | 30 |
| 4 0 1 | 58.52 | 29 |
| 2 0 3 | 60.27 | 25 |